1.
The following is a theoretical powder diffraction line list of Rb2NaZn2H5C4O14. It was derived from a crystal structure in the Materials Project, relaxed with GGA-PBE, using a wavelength of 1.5418 Å.

Structural model:
```
data_Rb2NaZn2H5C4O14
_chemical_formula_sum 'Rb4 Na2 Zn4 H10 C8 O28'
_cell_length_a 5.247
_cell_length_b 11.581
_cell_length_c 11.885
_cell_angle_alpha 90.00
_cell_angle_beta 114.18
_cell_angle_gamma 90.00
_symmetry_space_group_name_H-M 'P 1 21/c 1'
_symmetry_Int_Tables_number 14
loop_
_symmetry_equiv_pos_as_xyz
'x,y,z'
'-x,-y,-z'
'-x,y+1/2,-z+1/2'
'x,-y+1/2,z+1/2'
loop_
_atom_site_label
_atom_site_type_symbol
_atom_site_fract_x
_atom_site_fract_y
_atom_site_fract_z
Rb1 Rb 0.043 0.166 0.076
Na1 Na 0.000 0.000 0.500
Zn1 Zn 0.332 0.601 0.798
H1 H 0.060 0.701 0.181
H2 H 0.379 0.672 0.226
H3 H 0.500 0.000 0.000
C1 C 0.288 0.072 0.819
C2 C 0.430 0.124 0.435
O1 O 0.056 0.064 0.832
O2 O 0.210 0.162 0.444
O3 O 0.249 0.719 0.250
O4 O 0.298 0.110 0.719
O5 O 0.333 0.615 0.967
O6 O 0.427 0.090 0.329
O7 O 0.478 0.541 0.590
```

Main lines, sorted by position (10 to 90 degrees two-theta):
18.07 deg, d 4.910, intensity 46, (0 1 2)
18.57 deg, d 4.777, intensity 100, (1 1 -1)
28.60 deg, d 3.121, intensity 48, (1 2 -3)
28.72 deg, d 3.109, intensity 94, (1 3 -1)
29.13 deg, d 3.066, intensity 90, (0 2 3)
30.54 deg, d 2.927, intensity 49, (1 1 2)
30.88 deg, d 2.895, intensity 43, (0 4 0)
31.51 deg, d 2.839, intensity 70, (1 1 -4)
32.00 deg, d 2.797, intensity 59, (0 4 1)
34.20 deg, d 2.622, intensity 54, (2 0 -2)


2.
The following is a theoretical powder diffraction line list of GeMo3. It was derived from a crystal structure in the Materials Project, relaxed with GGA-PBE, using a wavelength of 1.5418 Å.

Structural model:
```
data_GeMo3
_chemical_formula_sum 'Ge2 Mo6'
_cell_length_a 4.972
_cell_length_b 4.972
_cell_length_c 4.972
_cell_angle_alpha 90.00
_cell_angle_beta 90.00
_cell_angle_gamma 90.00
_symmetry_space_group_name_H-M 'P m -3 n'
_symmetry_Int_Tables_number 223
_symmetry_space_group_name_Hall '-P 4n 2 3'
loop_
_atom_site_label
_atom_site_type_symbol
_atom_site_fract_x
_atom_site_fract_y
_atom_site_fract_z
Ge1 Ge 0.000 0.000 0.000
Mo1 Mo 0.000 0.250 0.500
```

Main lines, sorted by position (10 to 90 degrees two-theta):
25.33 deg, d 3.516, intensity 2, (1 1 0)
36.13 deg, d 2.486, intensity 27, (2 0 0)
40.57 deg, d 2.223, intensity 100, (2 1 0)
44.64 deg, d 2.030, intensity 59, (2 1 1)
64.98 deg, d 1.435, intensity 10, (2 2 2)
67.98 deg, d 1.379, intensity 21, (3 2 0)
70.93 deg, d 1.329, intensity 29, (3 2 1)
76.67 deg, d 1.243, intensity 13, (4 0 0)
87.81 deg, d 1.112, intensity 9, (4 2 0)


3.
The following is a theoretical powder diffraction line list of Nb2Co12P7. It was derived from a crystal structure in the Materials Project, relaxed with GGA-PBE, using a wavelength of 1.5418 Å.

Structural model:
```
data_Nb2Co12P7
_chemical_formula_sum 'Nb2 Co12 P7'
_cell_length_a 8.8416
_cell_length_b 8.8416
_cell_length_c 3.5285
_cell_angle_alpha 90.00
_cell_angle_beta 90.00
_cell_angle_gamma 120.00
_symmetry_space_group_name_H-M 'P -6'
_symmetry_Int_Tables_number 174
loop_
_symmetry_equiv_pos_as_xyz
'x,y,z'
'-x+y,-x,-z'
'-y,x-y,z'
'x,y,-z'
'-x+y,-x,z'
'-y,x-y,-z'
loop_
_atom_site_label
_atom_site_type_symbol
_atom_site_fract_x
_atom_site_fract_y
_atom_site_fract_z
Nb1 Nb 0.0000 0.0000 0.0000
Nb2 Nb 0.3333 0.6667 0.5000
Co1 Co 0.0570 0.7732 0.5000
Co2 Co 0.1065 0.3979 0.0000
Co3 Co 0.3846 0.2159 0.0000
Co4 Co 0.5415 0.1211 0.5000
P1 P 0.0786 0.6241 0.0000
P2 P 0.2598 0.0465 0.5000
P3 P 0.6667 0.3333 0.0000
```

Main lines, sorted by position (10 to 90 degrees two-theta):
30.90 deg, d 2.894, intensity 7, (1 2 0)
40.30 deg, d 2.238, intensity 100, (1 2 1)
40.82 deg, d 2.210, intensity 7, (2 2 0)
42.57 deg, d 2.124, intensity 8, (3 1 0)
43.77 deg, d 2.068, intensity 7, (3 0 1)
47.50 deg, d 1.914, intensity 9, (4 0 0)
50.14 deg, d 1.820, intensity 15, (3 1 1)
51.82 deg, d 1.764, intensity 18, (0 0 2)
54.95 deg, d 1.671, intensity 19, (4 1 0)
78.91 deg, d 1.213, intensity 12, (4 1 2)


4.
The following is a theoretical powder diffraction line list of Y2AgRu. It was derived from a crystal structure in the Materials Project, relaxed with GGA-PBE, using a wavelength of 1.5418 Å.

Structural model:
```
data_Y2AgRu
_chemical_formula_sum 'Y8 Ag4 Ru4'
_cell_length_a 7.045
_cell_length_b 7.045
_cell_length_c 7.045
_cell_angle_alpha 90.00
_cell_angle_beta 90.00
_cell_angle_gamma 90.00
_symmetry_space_group_name_H-M 'F m -3 m'
_symmetry_Int_Tables_number 225
_symmetry_space_group_name_Hall '-F 4 2 3'
loop_
_atom_site_label
_atom_site_type_symbol
_atom_site_fract_x
_atom_site_fract_y
_atom_site_fract_z
Y1 Y 0.250 0.250 0.250
Ag1 Ag 0.000 0.000 0.000
Ru1 Ru 0.000 0.000 0.500
```

Main lines, sorted by position (10 to 90 degrees two-theta):
25.28 deg, d 3.523, intensity 1, (2 0 0)
36.06 deg, d 2.491, intensity 100, (2 2 0)
51.91 deg, d 1.761, intensity 17, (4 0 0)
64.83 deg, d 1.438, intensity 34, (4 2 2)
76.48 deg, d 1.245, intensity 10, (4 4 0)
87.58 deg, d 1.114, intensity 15, (6 2 0)


5.
The following is a theoretical powder diffraction line list of LiSnN. It was derived from a crystal structure in the Materials Project, relaxed with GGA-PBE, using a wavelength of 1.5418 Å.

Structural model:
```
data_LiSnN
_chemical_formula_sum 'Li4 Sn4 N4'
_cell_length_a 10.289
_cell_length_b 3.241
_cell_length_c 5.627
_cell_angle_alpha 90.00
_cell_angle_beta 90.00
_cell_angle_gamma 90.00
_symmetry_space_group_name_H-M 'P n m a'
_symmetry_Int_Tables_number 62
loop_
_symmetry_equiv_pos_as_xyz
'x,y,z'
'-x,-y,-z'
'-x+1/2,-y,z+1/2'
'x+1/2,y,-z+1/2'
'x+1/2,-y+1/2,-z+1/2'
'-x+1/2,y+1/2,z+1/2'
'-x,y+1/2,-z'
'x,-y+1/2,z'
loop_
_atom_site_label
_atom_site_type_symbol
_atom_site_fract_x
_atom_site_fract_y
_atom_site_fract_z
Li1 Li 0.090 0.250 0.007
Sn1 Sn 0.134 0.250 0.474
N1 N 0.034 0.750 0.273
```

Main lines, sorted by position (10 to 90 degrees two-theta):
17.97 deg, d 4.937, intensity 100, (1 0 1)
30.52 deg, d 2.929, intensity 43, (3 0 1)
31.80 deg, d 2.814, intensity 24, (0 0 2)
32.66 deg, d 2.742, intensity 56, (2 1 0)
33.06 deg, d 2.710, intensity 60, (1 1 1)
34.88 deg, d 2.572, intensity 21, (4 0 0)
41.56 deg, d 2.173, intensity 17, (3 1 1)
46.23 deg, d 1.964, intensity 47, (2 1 2)
47.92 deg, d 1.898, intensity 23, (4 0 2)
55.35 deg, d 1.660, intensity 22, (5 1 1)


6.
The following is a theoretical powder diffraction line list of Mg4Sn5Te3O18. It was derived from a crystal structure in the Materials Project, relaxed with GGA-PBE, using a wavelength of 1.5418 Å.

Structural model:
```
data_Mg4Sn5Te3O18
_chemical_formula_sum 'Mg16 Sn20 Te12 O72'
_cell_length_a 15.804
_cell_length_b 9.449
_cell_length_c 11.715
_cell_angle_alpha 90.00
_cell_angle_beta 92.77
_cell_angle_gamma 90.00
_symmetry_space_group_name_H-M 'C 1 2/c 1'
_symmetry_Int_Tables_number 15
loop_
_symmetry_equiv_pos_as_xyz
'x,y,z'
'-x,-y,-z'
'-x,y,-z+1/2'
'x,-y,z+1/2'
'x+1/2,y+1/2,z'
'-x+1/2,-y+1/2,-z'
'-x+1/2,y+1/2,-z+1/2'
'x+1/2,-y+1/2,z+1/2'
loop_
_atom_site_label
_atom_site_type_symbol
_atom_site_fract_x
_atom_site_fract_y
_atom_site_fract_z
Mg1 Mg 0.023 0.158 0.041
Mg2 Mg 0.200 0.351 0.926
Sn1 Sn 0.000 0.330 0.750
Sn2 Sn 0.131 0.342 0.273
Sn3 Sn 0.177 0.195 0.578
Te1 Te 0.000 0.500 0.000
Te2 Te 0.156 0.011 0.821
O1 O 0.061 0.325 0.418
O2 O 0.069 0.330 0.921
O3 O 0.072 0.003 0.438
O4 O 0.073 0.492 0.675
O5 O 0.089 0.188 0.712
O6 O 0.098 0.177 0.178
O7 O 0.219 0.178 0.343
O8 O 0.223 0.468 0.344
O9 O 0.235 0.142 0.915
```

Main lines, sorted by position (10 to 90 degrees two-theta):
19.31 deg, d 4.597, intensity 77, (3 1 0)
27.07 deg, d 3.294, intensity 73, (2 2 2)
29.40 deg, d 3.038, intensity 48, (3 1 -3)
30.48 deg, d 2.933, intensity 41, (5 1 -1)
30.72 deg, d 2.910, intensity 100, (3 1 3)
32.11 deg, d 2.787, intensity 42, (2 0 -4)
32.65 deg, d 2.742, intensity 99, (1 3 -2)
32.80 deg, d 2.731, intensity 60, (1 1 4)
50.63 deg, d 1.803, intensity 32, (0 2 6)
51.65 deg, d 1.770, intensity 45, (7 3 -2)


7.
The following is a theoretical powder diffraction line list of NdSmTi4O12. It was derived from a crystal structure in the Materials Project, relaxed with GGA-PBE, using a wavelength of 1.5418 Å.

Structural model:
```
data_NdSmTi4O12
_chemical_formula_sum 'Nd2 Sm2 Ti8 O24'
_cell_length_a 7.726
_cell_length_b 7.700
_cell_length_c 7.756
_cell_angle_alpha 90.00
_cell_angle_beta 90.00
_cell_angle_gamma 90.00
_symmetry_space_group_name_H-M 'A m m 2'
_symmetry_Int_Tables_number 38
loop_
_symmetry_equiv_pos_as_xyz
'x,y,z'
'-x,-y,z'
'-x,y,z'
'x,-y,z'
'x,y+1/2,z+1/2'
'-x,-y+1/2,z+1/2'
'-x,y+1/2,z+1/2'
'x,-y+1/2,z+1/2'
loop_
_atom_site_label
_atom_site_type_symbol
_atom_site_fract_x
_atom_site_fract_y
_atom_site_fract_z
Nd1 Nd 0.000 0.000 0.000
Sm1 Sm 0.500 0.000 0.456
Ti1 Ti 0.251 0.240 0.727
O1 O 0.000 0.219 0.210
O2 O 0.207 0.000 0.771
O3 O 0.263 0.218 0.476
O4 O 0.281 0.000 0.212
O5 O 0.500 0.209 0.717
```

Main lines, sorted by position (10 to 90 degrees two-theta):
19.90 deg, d 4.461, intensity 100, (1 1 1)
32.75 deg, d 2.734, intensity 53, (0 2 2)
32.84 deg, d 2.727, intensity 29, (2 2 0)
38.54 deg, d 2.336, intensity 14, (1 1 3)
38.70 deg, d 2.327, intensity 35, (1 3 1)
40.44 deg, d 2.231, intensity 13, (2 2 2)
47.05 deg, d 1.931, intensity 12, (4 0 0)
51.51 deg, d 1.774, intensity 14, (3 1 3)
58.52 deg, d 1.577, intensity 11, (4 2 2)
58.63 deg, d 1.574, intensity 11, (2 4 2)


8.
The following is a theoretical powder diffraction line list of TeMoWSeS2. It was derived from a crystal structure in the Materials Project, relaxed with GGA-PBE, using a wavelength of 1.5418 Å.

Structural model:
```
data_TeMoWSeS2
_chemical_formula_sum 'Te2 Mo2 W2 Se2 S4'
_cell_length_a 3.3061
_cell_length_b 3.3061
_cell_length_c 38.0832
_cell_angle_alpha 90.00
_cell_angle_beta 90.00
_cell_angle_gamma 120.00
_symmetry_space_group_name_H-M 'P 3 m 1'
_symmetry_Int_Tables_number 156
loop_
_symmetry_equiv_pos_as_xyz
'x,y,z'
'-y,x-y,z'
'-x+y,-x,z'
'-y,-x,z'
'-x+y,y,z'
'x,x-y,z'
loop_
_atom_site_label
_atom_site_type_symbol
_atom_site_fract_x
_atom_site_fract_y
_atom_site_fract_z
Te1 Te 0.0000 0.0000 0.0000
Te2 Te 0.0000 0.0000 0.1005
Mo1 Mo 0.0000 0.0000 0.8625
Mo2 Mo 0.6667 0.3333 0.0503
W1 W 0.0000 0.0000 0.2388
W2 W 0.6667 0.3333 0.6748
Se1 Se 0.6667 0.3333 0.1944
Se2 Se 0.6667 0.3333 0.2831
S1 S 0.0000 0.0000 0.6345
S2 S 0.0000 0.0000 0.7150
S3 S 0.6667 0.3333 0.8224
S4 S 0.6667 0.3333 0.9026
```

Main lines, sorted by position (10 to 90 degrees two-theta):
11.62 deg, d 7.617, intensity 100, (0 0 5)
13.95 deg, d 6.347, intensity 13, (0 0 6)
16.29 deg, d 5.440, intensity 12, (0 0 7)
31.27 deg, d 2.860, intensity 43, (1 0 0)
33.43 deg, d 2.680, intensity 14, (1 0 5)
36.63 deg, d 2.454, intensity 76, (1 0 8)
44.23 deg, d 2.048, intensity 42, (0 1 13)
55.59 deg, d 1.653, intensity 22, (1 1 0)
68.43 deg, d 1.371, intensity 12, (0 2 8)
78.25 deg, d 1.222, intensity 12, (1 1 21)